(1)
Simulated PXRD pattern of Hf2AlSbSe for Cu Kα (λ = 1.5418 Å), from DFT lattice parameters and positions (GGA-PBE).

Lattice parameters (Å, degrees): 5.018 5.018 4.695 90.00 90.00 90.00
Space group P4/mmm (No. 123)
One atom of each set of equivalent atoms:
Hf 0.000 0.500 0.000 (multiplicity 2)
Al 0.000 0.000 0.500 (multiplicity 1)
Sb 0.500 0.500 0.500 (multiplicity 1)
Se 0.000 0.000 0.000 (multiplicity 1)

Main lines, low angle first (2θ = 10–90°):
2θ 18.9, I 40; 2θ 26.0, I 28; 2θ 31.6, I 100; 2θ 35.8, I 68; 2θ 38.3, I 28; 2θ 51.5, I 24; 2θ 53.5, I 43; 2θ 61.7, I 30

=====

(2)
Simulated PXRD pattern of HfScAl for Cu Kα (λ = 1.5418 Å), from DFT lattice parameters and positions (GGA-PBE).

Lattice parameters (Å, degrees): 3.148 3.148 12.437 90.00 90.00 90.00
Space group I4mm (No. 107)
One atom of each set of equivalent atoms:
Hf 0.000 0.000 0.000 (multiplicity 2)
Sc 0.000 0.000 0.320 (multiplicity 2)
Al 0.000 0.000 0.657 (multiplicity 2)

Main lines, low angle first (2θ = 10–90°):
2θ 14.2, I 68; 2θ 28.7, I 17; 2θ 29.3, I 57; 2θ 35.8, I 100; 2θ 40.5, I 36; 2θ 43.2, I 19; 2θ 61.1, I 20; 2θ 70.7, I 27

=====

(3)
Simulated PXRD pattern of Hf2ScAl3 for Cu Kα (λ = 1.5418 Å), from DFT lattice parameters and positions (GGA-PBE).

Lattice parameters (Å, degrees): 4.283 8.291 12.824 90.00 90.00 90.00
Space group Imma (No. 74)
One atom of each set of equivalent atoms:
Hf 0.000 0.250 0.001 (multiplicity 4)
Hf 0.000 0.250 0.332 (multiplicity 4)
Sc 0.000 0.250 0.667 (multiplicity 4)
Al 0.000 0.000 0.500 (multiplicity 4)
Al 0.000 0.002 0.165 (multiplicity 8)

Main lines, low angle first (2θ = 10–90°):
2θ 12.7, I 35; 2θ 21.4, I 42; 2θ 29.5, I 39; 2θ 36.8, I 100; 2θ 42.2, I 34; 2θ 43.7, I 15; 2θ 47.8, I 21; 2θ 62.4, I 21